The following is a simulated PXRD pattern of Ce4ScAl. It was derived from a cell relaxed with GGA-PBE, using a wavelength of 1.5418 Å.
Lines closer than 0.1° are merged.

```
data_Ce4ScAl
_space_group_name_H-M_alt 'C m c m'
_space_group_IT_number 63
_space_group_name_Hall '-C 2c 2'
_cell_length_a 6.080
_cell_length_b 17.975
_cell_length_c 5.309
_cell_angle_alpha 90.00
_cell_angle_beta 90.00
_cell_angle_gamma 90.00
loop_
_atom_site_label
_atom_site_fract_x
_atom_site_fract_y
_atom_site_fract_z
Ce1 0.231 0.044 0.250
Ce2 0.237 0.204 0.250
Sc1 0.000 0.128 0.750
Al1 0.000 0.376 0.250
```

Top 10 peaks for 10 to 90 degrees two-theta, sorted by position:
Position (°2θ), I_rel, index
19.42, 54, 0 2 1
29.38, 43, 2 0 0
33.77, 53, 0 0 2
34.37, 100, 0 6 1
35.46, 63, 2 2 1
35.65, 21, 2 4 0
45.36, 27, 2 0 2
45.83, 51, 2 6 1
60.79, 20, 0 6 3
71.88, 20, 4 6 1